# 1
For Li12MnNi3P4C4O28, a cell relaxed with GGA+U gives the computed powder diffraction line list in this record (Cu Kα (weighted mean of Kα1 and Kα2)).
Lines closer than 0.1° are merged.

Cell and atoms:
```
data_Li12MnNi3P4C4O28
_cell_length_a 8.3739
_cell_length_b 6.4618
_cell_length_c 9.9803
_cell_angle_alpha 90.00
_cell_angle_beta 94.75
_cell_angle_gamma 90.00
_space_group_name_H-M_alt 'P 1 m 1'
_space_group_IT_number 6
loop_
_space_group_symop_operation_xyz
'x,y,z'
'x,-y,z'
loop_
_atom_site_label
_atom_site_fract_x
_atom_site_fract_y
_atom_site_fract_z
_atom_site_occupancy
Li1 0.0000 0.0000 0.0000 1
Li2 0.0005 0.0000 0.4991 1
Li3 0.1784 0.2277 0.7614 1
Li4 0.1798 0.2283 0.2569 1
Li5 0.6262 0.2713 0.0062 1
Li6 0.6280 0.2713 0.5053 1
Li7 0.8037 0.5000 0.2651 1
Li8 0.8105 0.5000 0.7639 1
Mn1 0.2436 0.5000 0.4938 1
Ni1 0.2360 0.5000 0.9854 1
Ni2 0.5703 0.0000 0.2781 1
Ni3 0.5710 0.0000 0.7797 1
P1 0.3184 0.0000 0.0215 1
P2 0.3178 0.0000 0.5207 1
P3 0.4881 0.5000 0.2394 1
P4 0.4930 0.5000 0.7471 1
C1 0.8631 0.0000 0.2340 1
C2 0.8634 0.0000 0.7342 1
C3 0.9339 0.5000 0.5316 1
C4 0.9430 0.5000 0.0315 1
O1 0.0104 0.0000 0.2030 1
O2 0.0106 0.0000 0.7029 1
O3 0.0472 0.5000 0.6292 1
O4 0.0602 0.5000 0.1257 1
O5 0.2114 0.1845 0.4695 1
O6 0.2127 0.1867 0.9706 1
O7 0.3203 0.5000 0.2920 1
O8 0.3215 0.5000 0.7948 1
O9 0.3417 0.0000 0.1784 1
O10 0.3418 0.0000 0.6777 1
O11 0.4671 0.5000 0.0822 1
O12 0.4766 0.5000 0.5905 1
O13 0.4845 0.0000 0.4658 1
O14 0.4851 0.0000 0.9668 1
O15 0.5925 0.3133 0.2920 1
O16 0.5954 0.3125 0.7999 1
O17 0.7461 0.0000 0.1396 1
O18 0.7458 0.0000 0.6401 1
O19 0.7859 0.5000 0.5612 1
O20 0.7959 0.5000 0.0622 1
O21 0.8264 0.0000 0.3576 1
O22 0.8274 0.0000 0.8579 1
O23 0.9706 0.5000 0.4086 1
O24 0.9803 0.5000 0.9080 1
```

Peak list (12 most intense, 10° ≤ 2θ ≤ 90°, in order of rising 2θ)
2θ/deg  intensity  index
10.60  87  1 0 0
17.36  29  1 1 0
20.01  38  1 0 -2
21.55  52  1 0 2
22.56  19  0 1 2
25.62  20  1 1 2
26.73  35  2 0 -2
27.61  100  0 2 0
32.21  28  3 0 0
36.85  26  1 0 -4
40.92  22  3 1 2
43.38  20  1 3 0

***

# 2
For Li6MnNiP2C2O14, a cell relaxed with GGA+U gives the computed powder diffraction line list in this record (Cu Kα (weighted mean of Kα1 and Kα2)).
Lines closer than 0.1° are merged.

Cell and atoms:
```
data_Li6MnNiP2C2O14
_cell_length_a 4.9994
_cell_length_b 6.4998
_cell_length_c 8.5158
_cell_angle_alpha 90.00
_cell_angle_beta 95.90
_cell_angle_gamma 90.00
_space_group_name_H-M_alt 'P 1 m 1'
_space_group_IT_number 6
loop_
_space_group_symop_operation_xyz
'x,y,z'
'x,-y,z'
loop_
_atom_site_label
_atom_site_fract_x
_atom_site_fract_y
_atom_site_fract_z
_atom_site_occupancy
Li1 0.0000 0.0000 0.0000 1
Li2 0.0571 0.2676 0.6264 1
Li3 0.5273 0.2319 0.1688 1
Li4 0.5827 0.5000 0.7931 1
Mn1 0.5704 0.0000 0.5563 1
Ni1 0.9989 0.5000 0.2307 1
P1 0.0616 0.0000 0.3055 1
P2 0.5263 0.5000 0.4839 1
C1 0.1076 0.5000 0.9414 1
C2 0.4685 0.0000 0.8616 1
O1 0.1795 0.5000 0.7990 1
O2 0.2115 0.5000 0.4609 1
O3 0.2811 0.0000 0.7422 1
O4 0.2884 0.5000 0.0642 1
O5 0.3760 0.0000 0.3196 1
O6 0.4011 0.0000 0.0049 1
O7 0.6314 0.3153 0.5895 1
O8 0.6310 0.5000 0.3201 1
O9 0.7168 0.0000 0.8328 1
O10 0.8579 0.5000 0.9690 1
O11 0.9513 0.1875 0.2049 1
O12 0.9739 0.0000 0.4740 1
```

Peak list (12 most intense, 10° ≤ 2θ ≤ 90°, in order of rising 2θ)
2θ/deg  intensity  index
10.44  89  0 0 1
17.20  25  0 1 1
19.75  34  1 0 -1
21.63  56  1 0 1
25.65  17  1 1 1
26.20  34  1 0 -2
27.44  100  0 2 0
31.69  17  0 0 3
34.84  20  1 0 -3
36.60  31  2 0 -1
40.77  26  1 1 3
56.64  16  0 4 0

***

# 3
For LiMn2C2O8, a cell relaxed with GGA+U gives the computed powder diffraction line list in this record (Cu Kα (weighted mean of Kα1 and Kα2)).
Lines closer than 0.1° are merged.

Cell and atoms:
```
data_LiMn2C2O8
_cell_length_a 6.3874
_cell_length_b 9.3028
_cell_length_c 9.7864
_cell_angle_alpha 90.00
_cell_angle_beta 109.26
_cell_angle_gamma 90.00
_space_group_name_H-M_alt 'P 1 21/c 1'
_space_group_IT_number 14
loop_
_space_group_symop_operation_xyz
'x,y,z'
'-x,-y,-z'
'-x,y+1/2,-z+1/2'
'x,-y+1/2,z+1/2'
loop_
_atom_site_label
_atom_site_fract_x
_atom_site_fract_y
_atom_site_fract_z
_atom_site_occupancy
Li1 0.2250 0.1021 0.1845 1
Mn1 0.0923 0.6168 0.9324 1
Mn2 0.4043 0.1231 0.5555 1
C1 0.0648 0.1605 0.8638 1
C2 0.4449 0.6627 0.6328 1
O1 0.0211 0.2343 0.7431 1
O2 0.0353 0.0298 0.8680 1
O3 0.1398 0.2388 0.9867 1
O4 0.1909 0.0039 0.6018 1
O5 0.3369 0.0001 0.3855 1
O6 0.3955 0.7497 0.0152 1
O7 0.4101 0.5329 0.6182 1
O8 0.4761 0.2300 0.7420 1
```

Peak list (12 most intense, 10° ≤ 2θ ≤ 90°, in order of rising 2θ)
2θ/deg  intensity  index
13.51  100  0 1 1
19.21  32  0 0 2
21.40  45  0 2 1
29.56  15  2 0 -2
29.63  13  2 0 0
34.05  55  2 2 -1
34.93  33  0 2 3
41.76  22  2 3 0
43.76  12  0 2 4
57.50  12  2 4 2
57.73  15  4 0 -2
61.02  11  2 5 -3

***

# 4
For LiMnC2O6, a cell relaxed with GGA+U gives the computed powder diffraction line list in this record (Cu Kα (weighted mean of Kα1 and Kα2)).
Lines closer than 0.1° are merged.

Cell and atoms:
```
data_LiMnC2O6
_cell_length_a 4.5988
_cell_length_b 4.7273
_cell_length_c 20.6388
_cell_angle_alpha 85.67
_cell_angle_beta 83.65
_cell_angle_gamma 61.90
_space_group_name_H-M_alt 'P -1'
_space_group_IT_number 2
loop_
_space_group_symop_operation_xyz
'x,y,z'
'-x,-y,-z'
loop_
_atom_site_label
_atom_site_fract_x
_atom_site_fract_y
_atom_site_fract_z
_atom_site_occupancy
Li1 0.0000 0.0000 0.0000 1
Li2 0.2502 0.2497 0.2500 1
Li3 0.5000 0.5000 0.5000 1
Mn1 0.1249 0.1249 0.6251 1
Mn2 0.3748 0.3749 0.8751 1
C1 0.0491 0.0681 0.8164 1
C2 0.2009 0.1818 0.4334 1
C3 0.2993 0.3182 0.0665 1
C4 0.4509 0.4318 0.6836 1
O1 0.0214 0.5862 0.0680 1
O2 0.0580 0.7970 0.8128 1
O3 0.0748 0.8358 0.5672 1
O4 0.1751 0.4144 0.6829 1
O5 0.1920 0.4532 0.4372 1
O6 0.2287 0.6641 0.1822 1
O7 0.2711 0.8359 0.3178 1
O8 0.3080 0.0470 0.0628 1
O9 0.3250 0.0856 0.8171 1
O10 0.4249 0.6644 0.9329 1
O11 0.4420 0.7031 0.6872 1
O12 0.4787 0.9139 0.4318 1
```

Peak list (12 most intense, 10° ≤ 2θ ≤ 90°, in order of rising 2θ)
2θ/deg  intensity  index
17.30  100  0 0 4
21.87  44  0 1 -1
22.78  31  1 0 -1
23.11  36  1 1 2
31.00  77  0 1 -5
32.40  57  1 0 -5
32.64  50  1 1 6
35.01  14  0 0 8
41.02  40  1 -1 4
42.75  32  1 2 5
43.12  34  2 1 -3
53.54  16  2 1 -7

***

# 5
For Li3Mn2C4O12, a cell relaxed with GGA+U gives the computed powder diffraction line list in this record (Cu Kα (weighted mean of Kα1 and Kα2)).
Lines closer than 0.1° are merged.

Cell and atoms:
```
data_Li3Mn2C4O12
_cell_length_a 5.3663
_cell_length_b 6.4357
_cell_length_c 8.6196
_cell_angle_alpha 84.14
_cell_angle_beta 72.72
_cell_angle_gamma 65.82
_space_group_name_H-M_alt 'P 1'
_space_group_IT_number 1
loop_
_space_group_symop_operation_xyz
'x,y,z'
loop_
_atom_site_label
_atom_site_fract_x
_atom_site_fract_y
_atom_site_fract_z
_atom_site_occupancy
Li1 0.0000 0.0000 0.0000 1
Li2 0.1111 0.4943 0.7880 1
Li3 0.3306 0.0381 0.2978 1
Mn1 0.4511 0.5252 0.1532 1
Mn2 0.7320 0.0124 0.6420 1
C1 0.1868 0.6050 0.4362 1
C2 0.5186 0.9251 0.9443 1
C3 0.5681 0.4254 0.8573 1
C4 0.7248 0.1113 0.3462 1
O1 0.0411 0.6557 0.5835 1
O2 0.0953 0.5513 0.3274 1
O3 0.3173 0.4892 0.9696 1
O4 0.3667 0.9870 0.8429 1
O5 0.4099 0.8712 0.0916 1
O6 0.4402 0.6061 0.3769 1
O7 0.5196 0.0718 0.4506 1
O8 0.5853 0.3667 0.7174 1
O9 0.7059 0.1681 0.1981 1
O10 0.7725 0.4284 0.9064 1
O11 0.7755 0.9176 0.8953 1
O12 0.9409 0.0904 0.3922 1
```

Peak list (12 most intense, 10° ≤ 2θ ≤ 90°, in order of rising 2θ)
2θ/deg  intensity  index
18.37  12  0 1 -1
18.77  12  0 1 1
18.91  100  1 1 0
19.14  35  1 1 1
28.70  14  1 -1 0
30.46  26  0 2 0
32.15  12  0 2 -1
32.64  12  0 2 1
42.62  7  1 0 -3
42.75  8  2 2 -1
43.10  7  2 0 3
47.02  8  2 1 -2

***

# 6
For LiMnC2O6, a cell relaxed with GGA+U gives the computed powder diffraction line list in this record (Cu Kα (weighted mean of Kα1 and Kα2)).
Lines closer than 0.1° are merged.

Cell and atoms:
```
data_LiMnC2O6
_cell_length_a 5.3971
_cell_length_b 11.8374
_cell_length_c 8.4031
_cell_angle_alpha 90.00
_cell_angle_beta 106.81
_cell_angle_gamma 90.00
_space_group_name_H-M_alt 'C 1 c 1'
_space_group_IT_number 9
loop_
_space_group_symop_operation_xyz
'x,y,z'
'x,-y,z+1/2'
'x+1/2,y+1/2,z'
'x+1/2,-y+1/2,z+1/2'
loop_
_atom_site_label
_atom_site_fract_x
_atom_site_fract_y
_atom_site_fract_z
_atom_site_occupancy
Li1 0.0000 0.1171 0.0000 1
Mn1 0.1449 0.3708 0.8513 1
C1 0.0701 0.4220 0.5555 1
C2 0.3635 0.3312 0.1397 1
O1 0.0759 0.4541 0.4126 1
O2 0.1116 0.3289 0.0803 1
O3 0.2931 0.3972 0.6685 1
O4 0.3687 0.0914 0.1072 1
O5 0.4804 0.3600 0.0284 1
O6 0.4852 0.3060 0.2886 1
```

Peak list (12 most intense, 10° ≤ 2θ ≤ 90°, in order of rising 2θ)
2θ/deg  intensity  index
18.61  42  0 2 1
18.74  95  1 1 0
19.06  100  1 1 -1
28.46  22  1 3 0
28.68  20  1 3 -1
30.20  36  0 4 0
32.23  28  0 4 1
32.82  9  1 1 2
42.13  11  1 5 -1
42.57  14  2 2 1
43.79  11  2 2 -3
47.45  13  0 6 1

***

# 7
For LiMnC2O6, a cell relaxed with GGA+U gives the computed powder diffraction line list in this record (Cu Kα (weighted mean of Kα1 and Kα2)).
Lines closer than 0.1° are merged.

Cell and atoms:
```
data_LiMnC2O6
_cell_length_a 4.9411
_cell_length_b 7.9153
_cell_length_c 12.7872
_cell_angle_alpha 90.00
_cell_angle_beta 95.31
_cell_angle_gamma 90.00
_space_group_name_H-M_alt 'P 1 21 1'
_space_group_IT_number 4
loop_
_space_group_symop_operation_xyz
'x,y,z'
'-x,y+1/2,-z'
loop_
_atom_site_label
_atom_site_fract_x
_atom_site_fract_y
_atom_site_fract_z
_atom_site_occupancy
Li1 0.1579 0.0000 0.3216 1
Li2 0.3409 0.5000 0.1784 1
Mn1 0.1258 0.9500 0.6192 1
Mn2 0.3757 0.4505 0.8811 1
C1 0.0682 0.7126 0.4363 1
C2 0.1504 0.1978 0.8071 1
C3 0.3508 0.6977 0.6931 1
C4 0.4299 0.2134 0.0637 1
O1 0.0248 0.0633 0.7804 1
O2 0.0318 0.3470 0.8096 1
O3 0.0879 0.7031 0.6640 1
O4 0.1668 0.8588 0.4569 1
O5 0.1944 0.1874 0.5856 1
O6 0.2126 0.5757 0.4322 1
O7 0.2862 0.0761 0.0677 1
O8 0.3074 0.6886 0.9141 1
O9 0.3301 0.3594 0.0430 1
O10 0.4133 0.2029 0.8365 1
O11 0.4696 0.8468 0.6905 1
O12 0.4758 0.5629 0.7195 1
```

Peak list (12 most intense, 10° ≤ 2θ ≤ 90°, in order of rising 2θ)
2θ/deg  intensity  index
17.88  85  0 1 2
18.72  100  1 0 -1
21.86  29  1 1 -1
22.92  46  1 1 1
28.03  12  0 0 4
28.78  17  1 1 -3
30.26  54  0 1 4
38.28  40  1 0 -5
40.52  11  2 0 2
49.94  13  1 4 -1
54.61  12  0 4 4
55.19  14  1 4 3

***

# 8
For LiMnC2O6, a cell relaxed with GGA+U gives the computed powder diffraction line list in this record (Cu Kα (weighted mean of Kα1 and Kα2)).
Lines closer than 0.1° are merged.

Cell and atoms:
```
data_LiMnC2O6
_cell_length_a 7.3203
_cell_length_b 9.7931
_cell_length_c 9.0013
_cell_angle_alpha 90.00
_cell_angle_beta 119.99
_cell_angle_gamma 90.00
_space_group_name_H-M_alt 'P 1 21/c 1'
_space_group_IT_number 14
loop_
_space_group_symop_operation_xyz
'x,y,z'
'-x,-y,-z'
'-x,y+1/2,-z+1/2'
'x,-y+1/2,z+1/2'
loop_
_atom_site_label
_atom_site_fract_x
_atom_site_fract_y
_atom_site_fract_z
_atom_site_occupancy
Li1 0.1666 0.0977 0.1578 1
Mn1 0.0219 0.6362 0.0674 1
C1 0.0225 0.1081 0.7721 1
C2 0.4018 0.0137 0.6410 1
O1 0.0112 0.1939 0.6583 1
O2 0.0242 0.1527 0.9068 1
O3 0.0304 0.5236 0.2561 1
O4 0.2837 0.1179 0.5535 1
O5 0.3168 0.6016 0.1538 1
O6 0.4019 0.5232 0.7861 1
```

Peak list (12 most intense, 10° ≤ 2θ ≤ 90°, in order of rising 2θ)
2θ/deg  intensity  index
13.97  100  1 0 0
14.52  75  0 1 1
15.74  12  1 1 -1
19.90  18  1 0 -2
21.89  13  1 1 -2
28.15  21  2 0 0
30.30  11  1 3 -1
31.33  13  1 1 -3
35.22  11  1 2 -3
39.45  9  1 4 0
42.13  12  1 1 -4
42.79  12  3 0 0